Record 1
Theoretical PXRD pattern of Mg5In2CuIr2 for Cu Kα, 1.54184 Å, from a crystal structure in Alexandria, relaxed with PBE.
Kinematic intensities with the Lorentz-polarization factor, no thermal factor.

Structural model:
```
Mg5In2CuIr2
1.0
9.594 0.000 0.000
0.000 9.594 0.000
0.000 0.000 4.136
Mg In Cu Ir
10 4 2 4
Direct
0.000 0.500 0.000
0.076 0.202 0.000
0.202 0.924 0.000
0.298 0.424 0.000
0.424 0.702 0.000
0.500 0.000 0.000
0.576 0.298 0.000
0.702 0.576 0.000
0.798 0.076 0.000
0.924 0.798 0.000
0.172 0.672 0.500
0.328 0.172 0.500
0.672 0.828 0.500
0.828 0.328 0.500
0.000 0.000 0.500
0.500 0.500 0.500
0.122 0.378 0.500
0.378 0.878 0.500
0.622 0.122 0.500
0.878 0.622 0.500
```

Top 6 peaks for 2θ = 15–90°, by intensity:
2θ = 36.7°, intensity 100; 2θ = 21.5°, intensity 84; 2θ = 40.3°, intensity 57; 2θ = 29.4°, intensity 46; 2θ = 43.6°, intensity 31; 2θ = 75.8°, intensity 30



Record 2
Theoretical PXRD pattern of Tb10HoTh4 for Cu Kα, 1.54184 Å, from a crystal structure in Alexandria, relaxed with PBE.
Kinematic intensities with the Lorentz-polarization factor, no thermal factor.

Structural model:
```
Tb10HoTh4
1.0
-5.674 5.674 3.866
5.674 -5.674 3.866
5.674 5.674 -3.866
Tb Ho Th
10 1 4
Direct
0.001 0.792 0.209
0.208 0.418 0.209
0.208 0.999 0.791
0.250 0.750 0.500
0.418 0.208 0.209
0.582 0.792 0.791
0.750 0.250 0.500
0.792 0.001 0.209
0.792 0.582 0.791
0.999 0.208 0.791
0.500 0.500 0.000
0.272 0.272 0.544
0.272 0.728 0.000
0.728 0.272 0.000
0.728 0.728 0.456
```

Top 6 peaks for 2θ = 15–90°, by intensity:
2θ = 32.2°, intensity 100; 2θ = 31.5°, intensity 96; 2θ = 27.9°, intensity 63; 2θ = 30.7°, intensity 50; 2θ = 41.0°, intensity 37; 2θ = 67.3°, intensity 36



Record 3
Theoretical PXRD pattern of NaAlP2Ir4 for Cu Kα, 1.54184 Å, from a crystal structure in Alexandria, relaxed with PBE.
Kinematic intensities with the Lorentz-polarization factor, no thermal factor.

Structural model:
```
NaAlP2Ir4
1.0
4.072 0.000 0.000
0.000 4.072 0.000
0.000 0.000 7.678
Na Al P Ir
1 1 2 4
Direct
0.000 0.000 0.000
0.000 0.000 0.500
0.500 0.500 0.158
0.500 0.500 0.842
0.000 0.500 0.298
0.000 0.500 0.702
0.500 0.000 0.298
0.500 0.000 0.702
```

Top 6 peaks for 2θ = 15–90°, by intensity:
2θ = 39.1°, intensity 100; 2θ = 31.1°, intensity 91; 2θ = 23.2°, intensity 81; 2θ = 44.5°, intensity 62; 2θ = 47.5°, intensity 60; 2θ = 50.8°, intensity 40



Record 4
Theoretical PXRD pattern of Ga3GePt12 for Cu Kα, 1.54184 Å, from a crystal structure in Alexandria, relaxed with PBE.
Kinematic intensities with the Lorentz-polarization factor, no thermal factor.

Structural model:
```
Ga3GePt12
1.0
3.952 0.000 0.000
0.000 3.952 0.000
0.000 0.000 15.782
Ga Ge Pt
3 1 12
Direct
0.000 0.000 0.000
0.000 0.000 0.247
0.000 0.000 0.753
0.000 0.000 0.500
0.000 0.500 0.125
0.000 0.500 0.374
0.000 0.500 0.626
0.000 0.500 0.875
0.500 0.000 0.125
0.500 0.000 0.374
0.500 0.000 0.626
0.500 0.000 0.875
0.500 0.500 0.000
0.500 0.500 0.250
0.500 0.500 0.500
0.500 0.500 0.750
```

Top 6 peaks for 2θ = 15–90°, by intensity:
2θ = 39.5°, intensity 100; 2θ = 46.0°, intensity 49; 2θ = 67.0°, intensity 32; 2θ = 80.6°, intensity 26; 2θ = 80.8°, intensity 13; 2θ = 85.1°, intensity 11